The following is a simulated powder X-ray diffraction pattern of LaTc2O4. It was derived from DFT lattice parameters and positions (PBE), using Cu Ka.
No peak broadening, texture or thermal motion is included.

Atomic structure:
```
data_LaTc2O4
_symmetry_space_group_name_H-M 'P 1'
_symmetry_Int_Tables_number 1
_symmetry_space_group_name_Hall 'P 1'
_cell_length_a 6.4518
_cell_length_b 6.4518
_cell_length_c 6.4518
_cell_angle_alpha 60.00
_cell_angle_beta 60.00
_cell_angle_gamma 60.00
loop_
_atom_site_label
_atom_site_fract_x
_atom_site_fract_y
_atom_site_fract_z
La1 0.1250 0.1250 0.1250
La2 0.8750 0.8750 0.8750
Tc1 0.0000 0.5000 0.5000
Tc2 0.5000 0.0000 0.5000
Tc3 0.5000 0.5000 0.0000
Tc4 0.5000 0.5000 0.5000
O1 0.2689 0.2689 0.2689
O2 0.2689 0.2689 0.6933
O3 0.2689 0.6933 0.2689
O4 0.3067 0.7311 0.7311
O5 0.6933 0.2689 0.2689
O6 0.7311 0.3067 0.7311
O7 0.7311 0.7311 0.3067
O8 0.7311 0.7311 0.7311
```

Largest 8 diffraction maxima, low angle first, 2θ from 5° to 70°:
| 2θ (°) | I (rel.) |
| --- | --- |
| 27.7 | 40 |
| 32.5 | 100 |
| 34.0 | 15 |
| 48.9 | 15 |
| 52.1 | 40 |
| 57.1 | 38 |
| 67.3 | 12 |
| 68.2 | 8 |

***

The following is a simulated powder X-ray diffraction pattern of LaPrP2Os2S2. It was derived from DFT lattice parameters and positions (PBE), using Cu Ka.
No peak broadening, texture or thermal motion is included.

Atomic structure:
```
data_LaPrP2Os2S2
_symmetry_space_group_name_H-M 'P 1'
_symmetry_Int_Tables_number 1
_symmetry_space_group_name_Hall 'P 1'
_cell_length_a 4.1941
_cell_length_b 4.1941
_cell_length_c 9.1485
_cell_angle_alpha 90.00
_cell_angle_beta 90.00
_cell_angle_gamma 90.00
loop_
_atom_site_label
_atom_site_fract_x
_atom_site_fract_y
_atom_site_fract_z
La1 0.0000 0.0000 0.0000
Pr1 0.5000 0.5000 0.5931
P1 0.0000 0.0000 0.4218
P2 0.5000 0.5000 0.1728
Os1 0.0000 0.5000 0.2981
Os2 0.5000 0.0000 0.2981
S1 0.0000 0.5000 0.7943
S2 0.5000 0.0000 0.7943
```

Largest 8 diffraction maxima, low angle first, 2θ from 5° to 70°:
| 2θ (°) | I (rel.) |
| --- | --- |
| 9.7 | 84 |
| 23.3 | 34 |
| 28.9 | 19 |
| 29.3 | 22 |
| 31.7 | 37 |
| 36.1 | 100 |
| 43.1 | 41 |
| 59.3 | 21 |

***

The following is a simulated powder X-ray diffraction pattern of LaSi3Os. It was derived from DFT lattice parameters and positions (PBE), using Cu Ka.
No peak broadening, texture or thermal motion is included.

Atomic structure:
```
data_LaSi3Os
_symmetry_space_group_name_H-M 'P 1'
_symmetry_Int_Tables_number 1
_symmetry_space_group_name_Hall 'P 1'
_cell_length_a 5.8480
_cell_length_b 5.8480
_cell_length_c 5.8480
_cell_angle_alpha 136.99
_cell_angle_beta 136.99
_cell_angle_gamma 62.45
loop_
_atom_site_label
_atom_site_fract_x
_atom_site_fract_y
_atom_site_fract_z
La1 0.0000 0.0000 0.0000
Si1 0.2627 0.7627 0.5000
Si2 0.4195 0.4195 0.0000
Si3 0.7627 0.2627 0.5000
Os1 0.6562 0.6562 0.0000
```

Largest 8 diffraction maxima, low angle first, 2θ from 5° to 70°:
| 2θ (°) | I (rel.) |
| --- | --- |
| 17.7 | 23 |
| 22.6 | 55 |
| 29.5 | 62 |
| 34.1 | 100 |
| 34.6 | 41 |
| 42.2 | 46 |
| 55.3 | 51 |
| 63.7 | 18 |

***

The following is a simulated powder X-ray diffraction pattern of LaTlOs2. It was derived from DFT lattice parameters and positions (PBE), using Cu Ka.
No peak broadening, texture or thermal motion is included.

Atomic structure:
```
data_LaTlOs2
_symmetry_space_group_name_H-M 'P 1'
_symmetry_Int_Tables_number 1
_symmetry_space_group_name_Hall 'P 1'
_cell_length_a 4.8841
_cell_length_b 4.8841
_cell_length_c 4.8841
_cell_angle_alpha 60.00
_cell_angle_beta 60.00
_cell_angle_gamma 60.00
loop_
_atom_site_label
_atom_site_fract_x
_atom_site_fract_y
_atom_site_fract_z
La1 0.0000 0.0000 0.0000
Tl1 0.7500 0.7500 0.7500
Os1 0.2500 0.2500 0.2500
Os2 0.5000 0.5000 0.5000
```

Largest 6 diffraction maxima, low angle first, 2θ from 5° to 70°:
| 2θ (°) | I (rel.) |
| --- | --- |
| 22.3 | 1 |
| 25.8 | 1 |
| 36.8 | 100 |
| 43.5 | 1 |
| 53.0 | 18 |
| 66.3 | 36 |

***

The following is a simulated powder X-ray diffraction pattern of La7P12Pd17. It was derived from DFT lattice parameters and positions (PBE), using Cu Ka.
No peak broadening, texture or thermal motion is included.

Atomic structure:
```
data_La7P12Pd17
_symmetry_space_group_name_H-M 'P 1'
_symmetry_Int_Tables_number 1
_symmetry_space_group_name_Hall 'P 1'
_cell_length_a 12.5177
_cell_length_b 12.5177
_cell_length_c 13.7288
_cell_angle_alpha 111.85
_cell_angle_beta 111.85
_cell_angle_gamma 18.93
loop_
_atom_site_label
_atom_site_fract_x
_atom_site_fract_y
_atom_site_fract_z
La1 0.0000 0.0000 0.0000
La2 0.0826 0.0826 0.7626
La3 0.1348 0.1348 0.5003
La4 0.2665 0.2665 0.8137
La5 0.7335 0.7335 0.1863
La6 0.8652 0.8652 0.4997
La7 0.9174 0.9174 0.2374
P1 0.1353 0.1353 0.0796
P2 0.2665 0.2665 0.3823
P3 0.3120 0.3120 0.1188
P4 0.3871 0.3871 0.6726
P5 0.4398 0.4398 0.4261
P6 0.4894 0.4894 0.1721
P7 0.5106 0.5106 0.8279
P8 0.5602 0.5602 0.5739
P9 0.6129 0.6129 0.3274
P10 0.6880 0.6880 0.8812
P11 0.7335 0.7335 0.6177
P12 0.8647 0.8647 0.9204
Pd1 0.0000 0.0000 0.5000
Pd2 0.0477 0.0477 0.2460
Pd3 0.1656 0.1656 0.2780
Pd4 0.2029 0.2029 0.9870
Pd5 0.2819 0.2819 0.5709
Pd6 0.3388 0.3388 0.3068
Pd7 0.3903 0.3903 0.0417
Pd8 0.4064 0.4064 0.8553
Pd9 0.4740 0.4740 0.6254
Pd10 0.5260 0.5260 0.3746
Pd11 0.5936 0.5936 0.1447
Pd12 0.6097 0.6097 0.9583
Pd13 0.6612 0.6612 0.6932
Pd14 0.7181 0.7181 0.4291
Pd15 0.7971 0.7971 0.0130
Pd16 0.8344 0.8344 0.7220
Pd17 0.9523 0.9523 0.7540
```

Largest 8 diffraction maxima, low angle first, 2θ from 5° to 70°:
| 2θ (°) | I (rel.) |
| --- | --- |
| 31.8 | 53 |
| 33.7 | 25 |
| 34.7 | 100 |
| 35.2 | 50 |
| 37.2 | 18 |
| 37.9 | 26 |
| 44.0 | 50 |
| 44.1 | 25 |

***

The following is a simulated powder X-ray diffraction pattern of LaPr2Ta2P6. It was derived from DFT lattice parameters and positions (PBE), using Cu Ka.
No peak broadening, texture or thermal motion is included.

Atomic structure:
```
data_LaPr2Ta2P6
_symmetry_space_group_name_H-M 'P 1'
_symmetry_Int_Tables_number 1
_symmetry_space_group_name_Hall 'P 1'
_cell_length_a 12.0726
_cell_length_b 12.0726
_cell_length_c 12.0726
_cell_angle_alpha 157.31
_cell_angle_beta 157.31
_cell_angle_gamma 32.31
loop_
_atom_site_label
_atom_site_fract_x
_atom_site_fract_y
_atom_site_fract_z
La1 0.0000 0.0000 0.0000
Pr1 0.1683 0.1683 0.0000
Pr2 0.8317 0.8317 0.0000
Ta1 0.3938 0.3938 0.0000
Ta2 0.6062 0.6062 0.0000
P1 0.0820 0.5820 0.5000
P2 0.2939 0.2939 0.0000
P3 0.4180 0.9180 0.5000
P4 0.5820 0.0820 0.5000
P5 0.7061 0.7061 0.0000
P6 0.9180 0.4180 0.5000
```

Largest 8 diffraction maxima, low angle first, 2θ from 5° to 70°:
| 2θ (°) | I (rel.) |
| --- | --- |
| 15.3 | 33 |
| 26.5 | 78 |
| 26.9 | 100 |
| 33.0 | 20 |
| 37.9 | 56 |
| 39.8 | 29 |
| 47.0 | 48 |
| 56.1 | 22 |

***

The following is a simulated powder X-ray diffraction pattern of La2TmP3. It was derived from DFT lattice parameters and positions (PBE), using Cu Ka.
No peak broadening, texture or thermal motion is included.

Atomic structure:
```
data_La2TmP3
_symmetry_space_group_name_H-M 'P 1'
_symmetry_Int_Tables_number 1
_symmetry_space_group_name_Hall 'P 1'
_cell_length_a 4.1653
_cell_length_b 4.1653
_cell_length_c 10.1939
_cell_angle_alpha 90.00
_cell_angle_beta 90.00
_cell_angle_gamma 120.00
loop_
_atom_site_label
_atom_site_fract_x
_atom_site_fract_y
_atom_site_fract_z
La1 0.3333 0.6667 0.3249
La2 0.6667 0.3333 0.6751
Tm1 0.0000 0.0000 0.0000
P1 0.0000 0.0000 0.5000
P2 0.3333 0.6667 0.8488
P3 0.6667 0.3333 0.1512
```

Largest 8 diffraction maxima, low angle first, 2θ from 5° to 70°:
| 2θ (°) | I (rel.) |
| --- | --- |
| 8.7 | 5 |
| 26.2 | 81 |
| 30.4 | 100 |
| 43.5 | 72 |
| 51.5 | 41 |
| 53.9 | 25 |
| 63.2 | 12 |
| 69.6 | 17 |

***

The following is a simulated powder X-ray diffraction pattern of LaZrP2. It was derived from DFT lattice parameters and positions (PBE), using Cu Ka.
No peak broadening, texture or thermal motion is included.

Atomic structure:
```
data_LaZrP2
_symmetry_space_group_name_H-M 'P 1'
_symmetry_Int_Tables_number 1
_symmetry_space_group_name_Hall 'P 1'
_cell_length_a 3.5037
_cell_length_b 5.1737
_cell_length_c 9.2098
_cell_angle_alpha 90.00
_cell_angle_beta 90.00
_cell_angle_gamma 90.00
loop_
_atom_site_label
_atom_site_fract_x
_atom_site_fract_y
_atom_site_fract_z
La1 0.0000 0.0011 0.2500
La2 0.0000 0.9989 0.7500
Zr1 0.0034 0.5000 0.5000
Zr2 0.9966 0.5000 0.0000
P1 0.5000 0.0000 0.0000
P2 0.5000 0.0000 0.5000
P3 0.5000 0.4997 0.2500
P4 0.5000 0.5003 0.7500
```

Largest 8 diffraction maxima, low angle first, 2θ from 5° to 70°:
| 2θ (°) | I (rel.) |
| --- | --- |
| 25.4 | 21 |
| 25.9 | 41 |
| 34.7 | 29 |
| 36.6 | 100 |
| 39.1 | 21 |
| 53.3 | 17 |
| 63.4 | 19 |
| 69.3 | 15 |

***

The following is a simulated powder X-ray diffraction pattern of LaPmPa. It was derived from DFT lattice parameters and positions (PBE), using Cu Ka.
No peak broadening, texture or thermal motion is included.

Atomic structure:
```
data_LaPmPa
_symmetry_space_group_name_H-M 'P 1'
_symmetry_Int_Tables_number 1
_symmetry_space_group_name_Hall 'P 1'
_cell_length_a 5.2909
_cell_length_b 5.2909
_cell_length_c 5.2909
_cell_angle_alpha 60.00
_cell_angle_beta 60.00
_cell_angle_gamma 60.00
loop_
_atom_site_label
_atom_site_fract_x
_atom_site_fract_y
_atom_site_fract_z
La1 0.0000 0.0000 0.0000
Pm1 0.2500 0.2500 0.2500
Pa1 0.5000 0.5000 0.5000
```

Largest 8 diffraction maxima, low angle first, 2θ from 5° to 70°:
| 2θ (°) | I (rel.) |
| --- | --- |
| 20.6 | 26 |
| 23.8 | 22 |
| 33.9 | 100 |
| 40.0 | 15 |
| 41.8 | 7 |
| 48.7 | 18 |
| 54.9 | 9 |
| 60.6 | 38 |

***

The following is a simulated powder X-ray diffraction pattern of LaSmPa. It was derived from DFT lattice parameters and positions (PBE), using Cu Ka.
No peak broadening, texture or thermal motion is included.

Atomic structure:
```
data_LaSmPa
_symmetry_space_group_name_H-M 'P 1'
_symmetry_Int_Tables_number 1
_symmetry_space_group_name_Hall 'P 1'
_cell_length_a 5.3670
_cell_length_b 5.3670
_cell_length_c 5.3670
_cell_angle_alpha 60.00
_cell_angle_beta 60.00
_cell_angle_gamma 60.00
loop_
_atom_site_label
_atom_site_fract_x
_atom_site_fract_y
_atom_site_fract_z
La1 0.0000 0.0000 0.0000
Sm1 0.5000 0.5000 0.5000
Pa1 0.2500 0.2500 0.2500
```

Largest 8 diffraction maxima, low angle first, 2θ from 5° to 70°:
| 2θ (°) | I (rel.) |
| --- | --- |
| 20.3 | 44 |
| 23.4 | 2 |
| 33.4 | 100 |
| 39.4 | 25 |
| 47.9 | 18 |
| 52.6 | 11 |
| 59.7 | 38 |
| 63.7 | 8 |

***

The following is a simulated powder X-ray diffraction pattern of LaSbPd2Pb. It was derived from DFT lattice parameters and positions (PBE), using Cu Ka.
No peak broadening, texture or thermal motion is included.

Atomic structure:
```
data_LaSbPd2Pb
_symmetry_space_group_name_H-M 'P 1'
_symmetry_Int_Tables_number 1
_symmetry_space_group_name_Hall 'P 1'
_cell_length_a 4.5983
_cell_length_b 4.5983
_cell_length_c 11.1715
_cell_angle_alpha 90.00
_cell_angle_beta 90.00
_cell_angle_gamma 90.00
loop_
_atom_site_label
_atom_site_fract_x
_atom_site_fract_y
_atom_site_fract_z
La1 0.2500 0.2500 0.2311
La2 0.7500 0.7500 0.7689
Sb1 0.2500 0.2500 0.8743
Sb2 0.7500 0.7500 0.1257
Pd1 0.2500 0.2500 0.6456
Pd2 0.2500 0.7500 0.0000
Pd3 0.7500 0.2500 0.0000
Pd4 0.7500 0.7500 0.3544
Pb1 0.2500 0.7500 0.5000
Pb2 0.7500 0.2500 0.5000
```

Largest 8 diffraction maxima, low angle first, 2θ from 5° to 70°:
| 2θ (°) | I (rel.) |
| --- | --- |
| 30.9 | 31 |
| 31.8 | 100 |
| 39.2 | 58 |
| 42.7 | 33 |
| 45.1 | 16 |
| 50.7 | 15 |
| 56.6 | 20 |
| 66.4 | 24 |

***

The following is a simulated powder X-ray diffraction pattern of La3Sn2Pd3Pb. It was derived from DFT lattice parameters and positions (PBE), using Cu Ka.
No peak broadening, texture or thermal motion is included.

Atomic structure:
```
data_La3Sn2Pd3Pb
_symmetry_space_group_name_H-M 'P 1'
_symmetry_Int_Tables_number 1
_symmetry_space_group_name_Hall 'P 1'
_cell_length_a 4.2220
_cell_length_b 7.7455
_cell_length_c 7.7455
_cell_angle_alpha 119.61
_cell_angle_beta 90.00
_cell_angle_gamma 90.00
loop_
_atom_site_label
_atom_site_fract_x
_atom_site_fract_y
_atom_site_fract_z
La1 0.0000 0.0000 0.0000
La2 0.0000 0.4084 0.8237
La3 0.0000 0.8237 0.4084
Sn1 0.5000 0.1612 0.4101
Sn2 0.5000 0.4101 0.1612
Pd1 0.0000 0.3983 0.3983
Pd2 0.5000 0.0867 0.7466
Pd3 0.5000 0.7466 0.0867
Pb1 0.5000 0.6616 0.6616
```

Largest 8 diffraction maxima, low angle first, 2θ from 5° to 70°:
| 2θ (°) | I (rel.) |
| --- | --- |
| 31.2 | 31 |
| 31.3 | 100 |
| 34.1 | 98 |
| 35.2 | 31 |
| 35.4 | 48 |
| 41.5 | 30 |
| 42.8 | 39 |
| 64.4 | 28 |

***

The following is a simulated powder X-ray diffraction pattern of La3Pm2Pb3. It was derived from DFT lattice parameters and positions (PBE), using Cu Ka.
No peak broadening, texture or thermal motion is included.

Atomic structure:
```
data_La3Pm2Pb3
_symmetry_space_group_name_H-M 'P 1'
_symmetry_Int_Tables_number 1
_symmetry_space_group_name_Hall 'P 1'
_cell_length_a 9.5058
_cell_length_b 9.5058
_cell_length_c 6.9181
_cell_angle_alpha 90.00
_cell_angle_beta 90.00
_cell_angle_gamma 120.00
loop_
_atom_site_label
_atom_site_fract_x
_atom_site_fract_y
_atom_site_fract_z
La1 0.0000 0.2438 0.2500
La2 0.0000 0.7562 0.7500
La3 0.2438 0.0000 0.2500
La4 0.2438 0.2438 0.7500
La5 0.7562 0.0000 0.7500
La6 0.7562 0.7562 0.2500
Pm1 0.3333 0.6667 0.0000
Pm2 0.3333 0.6667 0.5000
Pm3 0.6667 0.3333 0.0000
Pm4 0.6667 0.3333 0.5000
Pb1 0.0000 0.3951 0.7500
Pb2 0.0000 0.6049 0.2500
Pb3 0.3951 0.0000 0.7500
Pb4 0.3951 0.3951 0.2500
Pb5 0.6049 0.0000 0.2500
Pb6 0.6049 0.6049 0.7500
```

Largest 8 diffraction maxima, low angle first, 2θ from 5° to 70°:
| 2θ (°) | I (rel.) |
| --- | --- |
| 25.8 | 25 |
| 28.7 | 23 |
| 31.5 | 100 |
| 32.0 | 78 |
| 32.6 | 45 |
| 41.7 | 25 |
| 49.2 | 29 |
| 62.5 | 22 |

***

The following is a simulated powder X-ray diffraction pattern of La2PrPt3Pb3. It was derived from DFT lattice parameters and positions (PBE), using Cu Ka.
No peak broadening, texture or thermal motion is included.

Atomic structure:
```
data_La2PrPt3Pb3
_symmetry_space_group_name_H-M 'P 1'
_symmetry_Int_Tables_number 1
_symmetry_space_group_name_Hall 'P 1'
_cell_length_a 4.1954
_cell_length_b 7.8675
_cell_length_c 7.8675
_cell_angle_alpha 120.00
_cell_angle_beta 90.00
_cell_angle_gamma 90.00
loop_
_atom_site_label
_atom_site_fract_x
_atom_site_fract_y
_atom_site_fract_z
La1 0.0000 0.2054 0.7946
La2 0.0000 0.7946 0.2054
Pr1 0.0000 0.6144 0.6144
Pt1 0.0000 0.2064 0.2064
Pt2 0.5000 0.5392 0.8732
Pt3 0.5000 0.8732 0.5392
Pb1 0.5000 0.2071 0.4603
Pb2 0.5000 0.4603 0.2071
Pb3 0.5000 0.9503 0.9503
```

Largest 8 diffraction maxima, low angle first, 2θ from 5° to 70°:
| 2θ (°) | I (rel.) |
| --- | --- |
| 31.2 | 88 |
| 33.9 | 100 |
| 34.8 | 52 |
| 39.7 | 45 |
| 41.1 | 55 |
| 43.1 | 31 |
| 60.0 | 27 |
| 63.5 | 40 |